Simulated powder XRD pattern
Compound: Hg4TeAsBr2
Radiation: λ = 1.5418 Å (Cu Kα)
Structure: DFT lattice parameters and positions (PBE)

Most intense lines, 10 to 90 degrees two-theta, in order of falling intensity:
(hkl), two_theta, intensity
0 0 2, 30.52, 100
4 0 -2, 30.65, 99
0 4 0, 25.75, 85
0 4 2, 40.35, 51
4 4 -2, 40.45, 51
4 0 0, 43.14, 37
4 0 -4, 44.46, 37
1 3 -2, 31.16, 36
1 1 0, 12.34, 29
2 2 0, 24.82, 28

Structural model:
a b c (Å): 11.6723 13.8412 8.1505
angles (deg): 90.00 134.05 90.00
Space group C2/c (No. 15)
Asymmetric unit:
Hg  0.0007  0.2023  0.0056 (multiplicity 8)
Hg  0.2330  0.0205  0.4824 (multiplicity 8)
Te  0.2500  0.2500  0.5000 (multiplicity 4)
As  0.0000  0.0000  0.0000 (multiplicity 4)
Br  0.0000  0.5000  0.0000 (multiplicity 4)
Br  0.2500  0.2500  0.0000 (multiplicity 4)